Te4Ir3: computed powder XRD pattern (CuKα), based on DFT lattice parameters and positions (GGA-PBE).

Main lines, sorted by position (10 to 90 degrees two-theta):
16.0 deg, 5.553 Å, I 260; 25.2 deg, 3.541 Å, I 341; 29.5 deg, 3.024 Å, I 894; 30.9 deg, 2.898 Å, I 461; 40.3 deg, 2.240 Å, I 274; 40.7 deg, 2.215 Å, I 817; 41.9 deg, 2.156 Å, I 626; 42.6 deg, 2.122 Å, I 357; 44.2 deg, 2.049 Å, I 496; 44.5 deg, 2.034 Å, I 1000

Cell and atoms:
```
data_Te4Ir3
_cell_length_a 4.099
_cell_length_b 6.730
_cell_length_c 7.041
_cell_angle_alpha 61.50
_cell_angle_beta 89.96
_cell_angle_gamma 72.36
_space_group_name_H-M_alt 'P -1'
_space_group_IT_number 2
loop_
_space_group_symop_operation_xyz
'x,y,z'
'-x,-y,-z'
loop_
_atom_site_label
_atom_site_fract_x
_atom_site_fract_y
_atom_site_fract_z
Te1 0.126 0.249 0.464
Te2 0.366 0.767 0.024
Ir1 0.000 0.500 0.000
Ir2 0.260 0.982 0.273
```

Te3Ir4: computed powder XRD pattern (CuKα), based on DFT lattice parameters and positions (GGA-PBE).

Main lines, sorted by position (10 to 90 degrees two-theta):
15.3 deg, 5.794 Å, I 320; 35.7 deg, 2.516 Å, I 1000; 37.1 deg, 2.424 Å, I 513; 39.0 deg, 2.308 Å, I 130; 43.4 deg, 2.086 Å, I 990; 51.3 deg, 1.779 Å, I 357; 65.0 deg, 1.434 Å, I 202; 69.4 deg, 1.354 Å, I 492; 75.8 deg, 1.255 Å, I 123; 86.5 deg, 1.125 Å, I 166

Cell and atoms:
```
data_Te3Ir4
_cell_length_a 3.559
_cell_length_b 3.559
_cell_length_c 23.177
_cell_angle_alpha 90.00
_cell_angle_beta 90.00
_cell_angle_gamma 90.00
_space_group_name_H-M_alt 'I 4/m m m'
_space_group_IT_number 139
_space_group_name_Hall '-I 4 2'
loop_
_atom_site_label
_atom_site_fract_x
_atom_site_fract_y
_atom_site_fract_z
Te1 0.000 0.000 0.000
Te2 0.000 0.000 0.329
Ir1 0.000 0.000 0.122
Ir2 0.000 0.000 0.441
```

Te5Ir3: computed powder XRD pattern (CuKα), based on DFT lattice parameters and positions (GGA-PBE).

Main lines, sorted by position (10 to 90 degrees two-theta):
18.2 deg, 4.881 Å, I 673; 18.4 deg, 4.825 Å, I 646; 24.5 deg, 3.633 Å, I 925; 28.7 deg, 3.112 Å, I 851; 33.5 deg, 2.671 Å, I 702; 34.9 deg, 2.568 Å, I 1000; 37.0 deg, 2.427 Å, I 505; 37.3 deg, 2.411 Å, I 634; 42.3 deg, 2.134 Å, I 585; 43.5 deg, 2.082 Å, I 681

Cell and atoms:
```
data_Te5Ir3
_cell_length_a 7.449
_cell_length_b 7.537
_cell_length_c 7.970
_cell_angle_alpha 94.93
_cell_angle_beta 95.62
_cell_angle_gamma 112.33
_space_group_name_H-M_alt 'P 1'
_space_group_IT_number 1
loop_
_space_group_symop_operation_xyz
'x,y,z'
loop_
_atom_site_label
_atom_site_fract_x
_atom_site_fract_y
_atom_site_fract_z
Te1 0.000 0.000 0.000
Te2 0.018 0.554 0.149
Te3 0.056 0.319 0.736
Te4 0.246 0.066 0.380
Te5 0.365 0.630 0.494
Te6 0.440 0.891 0.887
Te7 0.504 0.529 0.130
Te8 0.552 0.307 0.738
Te9 0.700 0.146 0.270
Te10 0.894 0.709 0.630
Ir1 0.196 0.043 0.722
Ir2 0.381 0.809 0.216
Ir3 0.569 0.400 0.424
Ir4 0.783 0.629 0.936
Ir5 0.791 0.214 0.954
Ir6 0.977 0.450 0.456
```

TeIr5: computed powder XRD pattern (CuKα), based on DFT lattice parameters and positions (GGA-PBE).

Main lines, sorted by position (10 to 90 degrees two-theta):
20.7 deg, 4.289 Å, I 76; 36.3 deg, 2.476 Å, I 239; 39.9 deg, 2.261 Å, I 268; 41.6 deg, 2.172 Å, I 1000; 46.9 deg, 1.938 Å, I 60; 55.0 deg, 1.670 Å, I 146; 65.3 deg, 1.430 Å, I 152; 73.6 deg, 1.287 Å, I 189; 79.3 deg, 1.208 Å, I 177; 80.4 deg, 1.194 Å, I 115

Cell and atoms:
```
data_TeIr5
_cell_length_a 4.9529
_cell_length_b 4.9529
_cell_length_c 4.5215
_cell_angle_alpha 90.00
_cell_angle_beta 90.00
_cell_angle_gamma 120.00
_space_group_name_H-M_alt 'P -6 2 m'
_space_group_IT_number 189
_space_group_name_Hall 'P -6 -2'
loop_
_atom_site_label
_atom_site_fract_x
_atom_site_fract_y
_atom_site_fract_z
Te1 0.0000 0.0000 0.0000
Ir1 0.0000 0.6241 0.5000
Ir2 0.3333 0.6667 0.0000
```

Th3TeIr: computed powder XRD pattern (CuKα), based on DFT lattice parameters and positions (GGA-PBE).

Main lines, sorted by position (10 to 90 degrees two-theta):
25.2 deg, 3.536 Å, I 335; 28.1 deg, 3.174 Å, I 1000; 29.0 deg, 3.084 Å, I 562; 30.6 deg, 2.925 Å, I 224; 32.7 deg, 2.741 Å, I 481; 34.9 deg, 2.570 Å, I 454; 40.9 deg, 2.205 Å, I 237; 41.0 deg, 2.199 Å, I 374; 44.8 deg, 2.022 Å, I 316; 58.1 deg, 1.588 Å, I 310

Cell and atoms:
```
data_Th3TeIr
_cell_length_a 7.875
_cell_length_b 4.045
_cell_length_c 10.051
_cell_angle_alpha 90.00
_cell_angle_beta 108.79
_cell_angle_gamma 90.00
_space_group_name_H-M_alt 'P 1 21/m 1'
_space_group_IT_number 11
loop_
_space_group_symop_operation_xyz
'x,y,z'
'-x,-y,-z'
'-x,y+1/2,-z'
'x,-y+1/2,z'
loop_
_atom_site_label
_atom_site_fract_x
_atom_site_fract_y
_atom_site_fract_z
Th1 0.042 0.250 0.170
Th2 0.304 0.750 0.484
Th3 0.441 0.750 0.147
Te1 0.138 0.250 0.658
Ir1 0.237 0.250 0.969
```

Th3Te2Ir: computed powder XRD pattern (CuKα), based on DFT lattice parameters and positions (GGA-PBE).

Main lines, sorted by position (10 to 90 degrees two-theta):
11.9 deg, 7.443 Å, I 173; 28.4 deg, 3.139 Å, I 516; 28.5 deg, 3.132 Å, I 1000; 36.8 deg, 2.440 Å, I 124; 40.1 deg, 2.247 Å, I 500; 41.2 deg, 2.189 Å, I 360; 41.4 deg, 2.183 Å, I 174; 50.9 deg, 1.792 Å, I 202; 59.0 deg, 1.565 Å, I 134; 65.9 deg, 1.418 Å, I 102

Cell and atoms:
```
data_Th3Te2Ir
_cell_length_a 7.589
_cell_length_b 13.098
_cell_length_c 7.863
_cell_angle_alpha 90.00
_cell_angle_beta 108.81
_cell_angle_gamma 90.00
_space_group_name_H-M_alt 'C 1 2/m 1'
_space_group_IT_number 12
loop_
_space_group_symop_operation_xyz
'x,y,z'
'-x,-y,-z'
'-x,y,-z'
'x,-y,z'
'x+1/2,y+1/2,z'
'-x+1/2,-y+1/2,-z'
'-x+1/2,y+1/2,-z'
'x+1/2,-y+1/2,z'
loop_
_atom_site_label
_atom_site_fract_x
_atom_site_fract_y
_atom_site_fract_z
Th1 0.204 0.000 0.208
Th2 0.245 0.184 0.788
Te1 0.000 0.000 0.500
Te2 0.000 0.346 0.500
Te3 0.000 0.500 0.000
Ir1 0.000 0.168 0.000
```

TmThTeIr: computed powder XRD pattern (CuKα), based on DFT lattice parameters and positions (GGA-PBE).

Main lines, sorted by position (10 to 90 degrees two-theta):
12.0 deg, 7.376 Å, I 284; 25.8 deg, 3.448 Å, I 385; 29.4 deg, 3.034 Å, I 138; 31.9 deg, 2.806 Å, I 1000; 37.7 deg, 2.384 Å, I 276; 43.2 deg, 2.095 Å, I 540; 48.2 deg, 1.889 Å, I 197; 54.7 deg, 1.679 Å, I 222; 67.7 deg, 1.384 Å, I 103; 72.1 deg, 1.310 Å, I 197

Cell and atoms:
```
data_TmThTeIr
_cell_length_a 4.1900
_cell_length_b 4.1900
_cell_length_c 22.1276
_cell_angle_alpha 90.00
_cell_angle_beta 90.00
_cell_angle_gamma 120.00
_space_group_name_H-M_alt 'R 3 m'
_space_group_IT_number 160
_space_group_name_Hall 'R 3 -2"'
loop_
_atom_site_label
_atom_site_fract_x
_atom_site_fract_y
_atom_site_fract_z
Tm1 0.0000 0.0000 0.0000
Th1 0.0000 0.0000 0.7997
Te1 0.0000 0.0000 0.2378
Ir1 0.0000 0.0000 0.3991
```

TiTe2Ir: computed powder XRD pattern (CuKα), based on DFT lattice parameters and positions (GGA-PBE).

Main lines, sorted by position (10 to 90 degrees two-theta):
11.6 deg, 7.633 Å, I 1000; 18.0 deg, 4.922 Å, I 214; 25.6 deg, 3.481 Å, I 402; 27.7 deg, 3.220 Å, I 405; 34.6 deg, 2.596 Å, I 630; 36.5 deg, 2.460 Å, I 343; 38.0 deg, 2.365 Å, I 458; 43.0 deg, 2.102 Å, I 177; 43.5 deg, 2.080 Å, I 288; 49.9 deg, 1.829 Å, I 209

Cell and atoms:
```
data_TiTe2Ir
_cell_length_a 8.456
_cell_length_b 6.440
_cell_length_c 8.032
_cell_angle_alpha 90.00
_cell_angle_beta 115.49
_cell_angle_gamma 90.00
_space_group_name_H-M_alt 'P 1 21/c 1'
_space_group_IT_number 14
loop_
_space_group_symop_operation_xyz
'x,y,z'
'-x,-y,-z'
'-x,y+1/2,-z+1/2'
'x,-y+1/2,z+1/2'
loop_
_atom_site_label
_atom_site_fract_x
_atom_site_fract_y
_atom_site_fract_z
Ti1 0.022 0.035 0.321
Te1 0.230 0.244 0.664
Te2 0.318 0.749 0.407
Ir1 0.107 0.658 0.558
```